Record 1
Diffraction record for Sc7Be. The XRD peak list is computed, not measured: it uses a structure optimized by DFT (GGA-PBE) and copper Kα.

Main lines, low angle first (2θ = 5–70°):
Position (°2θ)  d (Å)  intensity  hkl
17.09  5.187  9  1 1 1
19.76  4.492  5  2 0 0
28.09  3.176  4  2 2 0
33.07  2.709  5  3 1 1
34.58  2.594  100  2 2 2
40.15  2.246  48  4 0 0
43.93  2.061  2  3 3 1
45.13  2.009  2  4 2 0
52.96  1.729  2  5 1 1
58.08  1.588  29  4 4 0
61.01  1.519  1  5 3 1
69.39  1.354  32  6 2 2

Structural model:
```
data_Sc7Be
_space_group_name_H-M_alt 'F m -3 m'
_space_group_IT_number 225
_space_group_name_Hall '-F 4 2 3'
_cell_length_a 8.9844
_cell_length_b 8.9844
_cell_length_c 8.9844
_cell_angle_alpha 90.00
_cell_angle_beta 90.00
_cell_angle_gamma 90.00
loop_
_atom_site_label
_atom_site_fract_x
_atom_site_fract_y
_atom_site_fract_z
_atom_site_occupancy
Sc1 0.0000 0.0000 0.0000 1
Sc2 0.0000 0.2500 0.2500 1
Be1 0.0000 0.0000 0.5000 1
```

=====

Record 2
Diffraction record for HoMgNi5Ge2. The XRD peak list is computed, not measured: it uses a structure optimized by DFT (GGA-PBE) and copper Kα.

Main lines, low angle first (2θ = 5–70°):
Position (°2θ)  d (Å)  intensity  hkl
10.25  8.628  64  0 0 1
24.81  3.588  40  1 0 1
30.71  2.912  20  1 0 2
38.42  2.343  100  1 1 2
45.28  2.003  65  1 1 3
46.01  1.973  60  2 0 0
48.07  1.893  17  1 0 4
52.97  1.729  10  2 1 1
53.07  1.726  9  0 0 5
63.95  1.456  9  2 0 4
67.10  1.395  19  2 2 0
68.73  1.366  12  2 1 4

Structural model:
```
data_HoMgNi5Ge2
_space_group_name_H-M_alt 'P 4/m m m'
_space_group_IT_number 123
_space_group_name_Hall '-P 4 2'
_cell_length_a 3.9456
_cell_length_b 3.9456
_cell_length_c 8.6279
_cell_angle_alpha 90.00
_cell_angle_beta 90.00
_cell_angle_gamma 90.00
loop_
_atom_site_label
_atom_site_fract_x
_atom_site_fract_y
_atom_site_fract_z
_atom_site_occupancy
Ho1 0.0000 0.0000 0.0000 1
Mg1 0.0000 0.0000 0.5000 1
Ni1 0.0000 0.5000 0.2200 1
Ni2 0.5000 0.5000 0.0000 1
Ge1 0.5000 0.5000 0.3586 1
```

=====

Record 3
Diffraction record for PmPu2Ge2. The XRD peak list is computed, not measured: it uses a structure optimized by DFT (GGA-PBE) and copper Kα.

Main lines, low angle first (2θ = 5–70°):
Position (°2θ)  d (Å)  intensity  hkl
15.57  5.691  35  0 2 1
23.40  3.802  20  0 4 0
25.16  3.539  46  1 1 1
25.63  3.476  30  0 4 1
30.23  2.956  66  1 3 1
31.06  2.879  29  1 1 2
33.48  2.677  47  0 2 3
35.36  2.538  100  1 3 2
38.58  2.334  40  1 5 1
39.11  2.303  20  1 1 3
45.13  2.009  28  2 0 0
57.34  1.607  29  2 2 3

Structural model:
```
data_PmPu2Ge2
_space_group_name_H-M_alt 'C m c 21'
_space_group_IT_number 36
_space_group_name_Hall 'C 2c -2'
_cell_length_a 4.0182
_cell_length_b 15.2092
_cell_length_c 8.5788
_cell_angle_alpha 90.00
_cell_angle_beta 90.00
_cell_angle_gamma 90.00
loop_
_atom_site_label
_atom_site_fract_x
_atom_site_fract_y
_atom_site_fract_z
_atom_site_occupancy
Pm1 0.0000 0.0820 0.0000 1
Pu1 0.0000 0.1694 0.6632 1
Pu2 0.0000 0.3682 0.8947 1
Ge1 0.0000 0.2737 0.3864 1
Ge2 0.0000 0.4776 0.1949 1
```

=====

Record 4
Diffraction record for La3PrBi2. The XRD peak list is computed, not measured: it uses a structure optimized by DFT (GGA-PBE) and copper Kα.

Main lines, low angle first (2θ = 5–70°):
Position (°2θ)  d (Å)  intensity  hkl
21.06  4.219  19  1 0 1
26.58  3.353  27  1 1 0
28.31  3.152  75  1 1 1
29.00  3.079  36  0 0 3
33.01  2.713  100  1 1 2
34.74  2.582  35  1 0 3
37.95  2.371  60  2 0 0
48.46  1.879  35  2 0 3
52.39  1.747  22  2 1 3
54.75  1.677  21  2 2 0
63.14  1.472  16  2 2 3
65.43  1.426  28  3 1 2

Structural model:
```
data_La3PrBi2
_space_group_name_H-M_alt 'P -4 m 2'
_space_group_IT_number 115
_space_group_name_Hall 'P -4 -2'
_cell_length_a 4.7424
_cell_length_b 4.7424
_cell_length_c 9.2360
_cell_angle_alpha 90.00
_cell_angle_beta 90.00
_cell_angle_gamma 90.00
loop_
_atom_site_label
_atom_site_fract_x
_atom_site_fract_y
_atom_site_fract_z
_atom_site_occupancy
La1 0.0000 0.0000 0.0000 1
La2 0.0000 0.5000 0.6450 1
Pr1 0.5000 0.5000 0.0000 1
Bi1 0.0000 0.5000 0.2787 1
```

=====

Record 5
Diffraction record for Hf2Ga2Cu. The XRD peak list is computed, not measured: it uses a structure optimized by DFT (GGA-PBE) and copper Kα.

Main lines, low angle first (2θ = 5–70°):
Position (°2θ)  d (Å)  intensity  hkl
24.68  3.608  20  1 1 0
32.46  2.758  20  0 0 2
33.22  2.697  18  1 3 1
35.71  2.514  15  0 6 1
35.96  2.497  100  1 5 0
38.96  2.312  45  0 4 2
39.62  2.275  19  1 5 1
41.20  2.191  69  1 1 2
49.22  1.851  17  1 5 2
49.36  1.846  26  2 0 0
64.60  1.443  21  2 4 2
65.07  1.433  22  1 9 2

Structural model:
```
data_Hf2Ga2Cu
_space_group_name_H-M_alt 'C m c 21'
_space_group_IT_number 36
_space_group_name_Hall 'C 2c -2'
_cell_length_a 3.6925
_cell_length_b 16.9498
_cell_length_c 5.5168
_cell_angle_alpha 90.00
_cell_angle_beta 90.00
_cell_angle_gamma 90.00
loop_
_atom_site_label
_atom_site_fract_x
_atom_site_fract_y
_atom_site_fract_z
_atom_site_occupancy
Hf1 0.0000 0.0048 0.0000 1
Hf2 0.0000 0.2154 0.9769 1
Ga1 0.0000 0.1654 0.4646 1
Ga2 0.0000 0.3932 0.2466 1
Cu1 0.0000 0.3907 0.7219 1
```

=====

Record 6
Diffraction record for KPmY4S8. The XRD peak list is computed, not measured: it uses a structure optimized by DFT (GGA-PBE) and copper Kα.

Main lines, low angle first (2θ = 5–70°):
Position (°2θ)  d (Å)  intensity  hkl
13.16  6.729  54  1 0 1
15.16  5.846  14  0 1 2
21.60  4.114  22  1 1 0
25.11  3.547  41  0 1 5
25.30  3.520  100  1 1 3
30.59  2.923  71  0 2 4
40.09  2.249  35  1 2 5
40.21  2.243  26  0 3 3
43.58  2.077  53  2 0 8
44.02  2.057  53  2 2 0
61.11  1.517  18  4 1 3
63.67  1.461  15  0 4 8

Structural model:
```
data_KPmY4S8
_space_group_name_H-M_alt 'R 3 m'
_space_group_IT_number 160
_space_group_name_Hall 'R 3 -2"'
_cell_length_a 8.2284
_cell_length_b 8.2284
_cell_length_c 20.4455
_cell_angle_alpha 90.00
_cell_angle_beta 90.00
_cell_angle_gamma 120.00
loop_
_atom_site_label
_atom_site_fract_x
_atom_site_fract_y
_atom_site_fract_z
_atom_site_occupancy
K1 0.0000 0.0000 0.0000 1
Pm1 0.0000 0.0000 0.6318 1
Y1 0.0000 0.0000 0.2527 1
Y2 0.1725 0.3450 0.4592 1
S1 0.0000 0.0000 0.3847 1
S2 0.0000 0.0000 0.8602 1
S3 0.0402 0.5201 0.3851 1
S4 0.1749 0.3498 0.2067 1
```

=====

Record 7
Diffraction record for MnIn3Cl6. The XRD peak list is computed, not measured: it uses a structure optimized by DFT (GGA-PBE) and copper Kα.

Main lines, low angle first (2θ = 5–70°):
Position (°2θ)  d (Å)  intensity  hkl
21.25  4.181  74  0 2 2
25.25  3.527  24  0 0 4
25.58  3.482  100  2 0 2
30.65  2.917  21  0 2 4
34.55  2.596  37  0 4 0
38.17  2.358  66  2 2 4
43.28  2.090  14  0 4 4
43.48  2.081  45  2 4 2
44.70  2.027  21  2 0 6
45.29  2.002  15  4 0 0
50.54  1.806  15  4 2 2
57.70  1.598  19  2 4 6

Structural model:
```
data_MnIn3Cl6
_space_group_name_H-M_alt 'F m m m'
_space_group_IT_number 69
_space_group_name_Hall '-F 2 2'
_cell_length_a 8.0090
_cell_length_b 10.3829
_cell_length_c 14.1061
_cell_angle_alpha 90.00
_cell_angle_beta 90.00
_cell_angle_gamma 90.00
loop_
_atom_site_label
_atom_site_fract_x
_atom_site_fract_y
_atom_site_fract_z
_atom_site_occupancy
Mn1 0.0000 0.0000 0.0000 1
In1 0.0000 0.0000 0.5000 1
In2 0.2500 0.2500 0.2500 1
Cl1 0.0000 0.2389 0.0000 1
Cl2 0.2265 0.0000 0.1252 1
```

=====

Record 8
Diffraction record for Cd6Pd2Au3. The XRD peak list is computed, not measured: it uses a structure optimized by DFT (GGA-PBE) and copper Kα.

Main lines, low angle first (2θ = 5–70°):
Position (°2θ)  d (Å)  intensity  hkl
21.75  4.085  30  1 0 1
27.02  3.300  17  1 0 5
30.60  2.921  31  1 1 0
31.31  2.857  46  1 1 2
31.47  2.843  27  1 0 7
36.50  2.462  100  1 1 6
39.42  2.286  23  0 0 12
40.57  2.224  71  1 1 8
43.82  2.066  79  2 0 0
45.35  2.000  18  1 1 10
60.40  1.533  26  2 0 12
63.71  1.461  25  2 2 0

Structural model:
```
data_Cd6Pd2Au3
_space_group_name_H-M_alt 'I 4/m m m'
_space_group_IT_number 139
_space_group_name_Hall '-I 4 2'
_cell_length_a 4.1315
_cell_length_b 4.1315
_cell_length_c 27.4271
_cell_angle_alpha 90.00
_cell_angle_beta 90.00
_cell_angle_gamma 90.00
loop_
_atom_site_label
_atom_site_fract_x
_atom_site_fract_y
_atom_site_fract_z
_atom_site_occupancy
Cd1 0.0000 0.0000 0.2414 1
Cd2 0.0000 0.5000 0.0740 1
Pd1 0.0000 0.0000 0.1441 1
Au1 0.0000 0.0000 0.3433 1
Au2 0.0000 0.0000 0.5000 1
```